No. 1
Structure and theoretical XRD peak list of Mg6MnCu (DFT lattice parameters and positions (PBE); copper Kα).

Main lines, most intense first (5 to 70 degrees two-theta):
2θ = 38.92°, I = 100; 2θ = 16.85°, I = 30; 2θ = 37.01°, I = 26; 2θ = 34.07°, I = 25; 2θ = 67.96°, I = 17; 2θ = 60.97°, I = 16; 2θ = 51.17°, I = 15; 2θ = 24.94°, I = 9; 2θ = 34.81°, I = 8; 2θ = 49.50°, I = 7; 2θ = 40.92°, I = 6; 2θ = 29.41°, I = 4

Crystal structure
Cell lengths 4.858, 6.074, 10.535 Å; angles 90.00, 90.00, 90.00 degrees
Fractional coordinates of all 16 atoms:
Mg  0.000  0.000  0.000
Mg  0.000  0.239  0.253
Mg  0.000  0.261  0.753
Mg  0.000  0.500  0.500
Mg  0.000  0.739  0.753
Mg  0.000  0.761  0.253
Mg  0.500  0.000  0.832
Mg  0.500  0.242  0.577
Mg  0.500  0.258  0.077
Mg  0.500  0.500  0.332
Mg  0.500  0.742  0.077
Mg  0.500  0.758  0.577
Mn  0.000  0.000  0.493
Mn  0.000  0.500  0.993
Cu  0.500  0.000  0.340
Cu  0.500  0.500  0.840

No. 2
Structure and theoretical XRD peak list of Mg6MnCu (DFT lattice parameters and positions (PBE); copper Kα).

Main lines, most intense first (5 to 70 degrees two-theta):
2θ = 38.57°, I = 100; 2θ = 38.81°, I = 49; 2θ = 37.15°, I = 36; 2θ = 33.64°, I = 29; 2θ = 16.76°, I = 22; 2θ = 67.92°, I = 17; 2θ = 50.98°, I = 17; 2θ = 60.49°, I = 16; 2θ = 18.33°, I = 15; 2θ = 33.90°, I = 14; 2θ = 24.93°, I = 13; 2θ = 68.08°, I = 8

Crystal structure
Cell lengths 4.840, 6.169, 10.577 Å; angles 90.00, 90.00, 90.00 degrees
Fractional coordinates of all 16 atoms:
Mg  0.000  0.000  0.000
Mg  0.000  0.000  0.499
Mg  0.000  0.248  0.239
Mg  0.000  0.252  0.739
Mg  0.000  0.500  0.500
Mg  0.000  0.500  0.999
Mg  0.000  0.748  0.739
Mg  0.000  0.752  0.239
Mg  0.500  0.248  0.411
Mg  0.500  0.252  0.911
Mg  0.500  0.748  0.911
Mg  0.500  0.752  0.411
Mn  0.500  0.000  0.660
Mn  0.500  0.500  0.160
Cu  0.500  0.000  0.162
Cu  0.500  0.500  0.662

No. 3
Structure and theoretical XRD peak list of Mg14MnCu (DFT lattice parameters and positions (PBE); copper Kα).

Main lines, most intense first (5 to 70 degrees two-theta):
2θ = 37.83°, I = 100; 2θ = 33.05°, I = 26; 2θ = 36.22°, I = 24; 2θ = 8.91°, I = 21; 2θ = 59.03°, I = 17; 2θ = 66.22°, I = 16; 2θ = 49.84°, I = 15; 2θ = 18.65°, I = 7; 2θ = 16.35°, I = 5; 2θ = 43.16°, I = 4; 2θ = 17.88°, I = 4; 2θ = 34.30°, I = 3

Crystal structure
Cell lengths 9.920, 6.259, 6.259 Å; angles 59.99, 90.00, 90.00 degrees
Fractional coordinates of all 16 atoms:
Mg  0.000  0.000  0.000
Mg  0.000  0.002  0.501
Mg  0.000  0.499  0.499
Mg  0.000  0.501  0.002
Mg  0.253  0.665  0.665
Mg  0.257  0.164  0.164
Mg  0.265  0.171  0.672
Mg  0.265  0.672  0.171
Mg  0.500  0.503  0.995
Mg  0.500  0.995  0.503
Mg  0.735  0.171  0.672
Mg  0.735  0.672  0.171
Mg  0.743  0.164  0.164
Mg  0.747  0.665  0.665
Mn  0.500  0.504  0.504
Cu  0.500  0.000  0.000

No. 4
Structure and theoretical XRD peak list of Mg14MnCu (DFT lattice parameters and positions (PBE); copper Kα).

Main lines, most intense first (5 to 70 degrees two-theta):
2θ = 37.81°, I = 100; 2θ = 33.05°, I = 26; 2θ = 36.14°, I = 25; 2θ = 66.10°, I = 18; 2θ = 59.03°, I = 17; 2θ = 49.78°, I = 15; 2θ = 16.35°, I = 15; 2θ = 24.29°, I = 8; 2θ = 33.85°, I = 4; 2θ = 48.03°, I = 4; 2θ = 17.84°, I = 3; 2θ = 28.52°, I = 3

Crystal structure
Cell lengths 6.259, 6.259, 9.941 Å; angles 90.00, 90.00, 120.00 degrees
Fractional coordinates of all 16 atoms:
Mg  0.000  0.000  0.250
Mg  0.000  0.000  0.750
Mg  0.011  0.505  0.248
Mg  0.011  0.505  0.752
Mg  0.332  0.166  0.000
Mg  0.335  0.168  0.500
Mg  0.495  0.505  0.248
Mg  0.495  0.505  0.752
Mg  0.495  0.989  0.248
Mg  0.495  0.989  0.752
Mg  0.832  0.168  0.500
Mg  0.832  0.665  0.500
Mg  0.834  0.166  0.000
Mg  0.834  0.668  0.000
Mn  0.333  0.667  0.500
Cu  0.333  0.667  0.000

No. 5
Structure and theoretical XRD peak list of Mg6CuMo (DFT lattice parameters and positions (PBE); copper Kα).

Main lines, most intense first (5 to 70 degrees two-theta):
2θ = 39.03°, I = 100; 2θ = 16.84°, I = 90; 2θ = 38.93°, I = 56; 2θ = 37.39°, I = 40; 2θ = 34.09°, I = 30; 2θ = 68.52°, I = 27; 2θ = 25.06°, I = 27; 2θ = 34.89°, I = 24; 2θ = 51.47°, I = 23; 2θ = 49.53°, I = 19; 2θ = 41.27°, I = 18; 2θ = 60.88°, I = 16

Crystal structure
Cell lengths 4.810, 6.067, 10.555 Å; angles 90.00, 90.00, 90.00 degrees
Fractional coordinates of all 16 atoms:
Mg  0.000  0.000  0.000
Mg  0.000  0.236  0.257
Mg  0.000  0.264  0.757
Mg  0.000  0.500  0.500
Mg  0.000  0.736  0.757
Mg  0.000  0.764  0.257
Mg  0.500  0.000  0.832
Mg  0.500  0.240  0.581
Mg  0.500  0.260  0.081
Mg  0.500  0.500  0.332
Mg  0.500  0.740  0.081
Mg  0.500  0.760  0.581
Cu  0.000  0.000  0.483
Cu  0.000  0.500  0.983
Mo  0.500  0.000  0.337
Mo  0.500  0.500  0.837

No. 6
Structure and theoretical XRD peak list of Mg6CuMo (DFT lattice parameters and positions (PBE); copper Kα).

Main lines, most intense first (5 to 70 degrees two-theta):
2θ = 39.10°, I = 100; 2θ = 39.24°, I = 51; 2θ = 16.91°, I = 44; 2θ = 37.72°, I = 36; 2θ = 34.08°, I = 34; 2θ = 18.60°, I = 28; 2θ = 25.25°, I = 27; 2θ = 69.05°, I = 26; 2θ = 51.74°, I = 20; 2θ = 61.19°, I = 16; 2θ = 34.23°, I = 16; 2θ = 34.98°, I = 11

Crystal structure
Cell lengths 4.769, 6.085, 10.479 Å; angles 90.00, 90.00, 90.00 degrees
Fractional coordinates of all 16 atoms:
Mg  0.000  0.000  0.000
Mg  0.000  0.000  0.499
Mg  0.000  0.246  0.236
Mg  0.000  0.254  0.736
Mg  0.000  0.500  0.500
Mg  0.000  0.500  0.999
Mg  0.000  0.746  0.736
Mg  0.000  0.754  0.236
Mg  0.500  0.247  0.907
Mg  0.500  0.253  0.407
Mg  0.500  0.747  0.407
Mg  0.500  0.753  0.907
Cu  0.500  0.000  0.659
Cu  0.500  0.500  0.159
Mo  0.500  0.000  0.157
Mo  0.500  0.500  0.657

No. 7
Structure and theoretical XRD peak list of Mg2CuN2 (DFT lattice parameters and positions (PBE); copper Kα).

Main lines, most intense first (5 to 70 degrees two-theta):
2θ = 25.48°, I = 100; 2θ = 44.53°, I = 76; 2θ = 34.53°, I = 52; 2θ = 37.12°, I = 45; 2θ = 35.26°, I = 38; 2θ = 23.99°, I = 30; 2θ = 57.43°, I = 21; 2θ = 64.79°, I = 20; 2θ = 52.71°, I = 20; 2θ = 34.31°, I = 18; 2θ = 58.03°, I = 18; 2θ = 46.06°, I = 16

Crystal structure
Cell lengths 5.673, 5.673, 6.921 Å; angles 119.06, 119.06, 42.02 degrees
Fractional coordinates of all 10 atoms:
Mg  0.038  0.038  0.234
Mg  0.329  0.329  0.966
Mg  0.671  0.671  0.034
Mg  0.962  0.962  0.766
Cu  0.356  0.356  0.391
Cu  0.644  0.644  0.609
N  0.175  0.175  0.098
N  0.479  0.479  0.701
N  0.521  0.521  0.299
N  0.825  0.825  0.902

No. 8
Structure and theoretical XRD peak list of Mg5CuN4 (DFT lattice parameters and positions (PBE); copper Kα).

Main lines, most intense first (5 to 70 degrees two-theta):
2θ = 51.34°, I = 100; 2θ = 34.61°, I = 99; 2θ = 41.37°, I = 71; 2θ = 20.95°, I = 60; 2θ = 37.11°, I = 45; 2θ = 34.19°, I = 36; 2θ = 18.31°, I = 29; 2θ = 56.16°, I = 24; 2θ = 21.70°, I = 23; 2θ = 32.22°, I = 22; 2θ = 61.48°, I = 20; 2θ = 50.72°, I = 17

Crystal structure
Cell lengths 6.551, 7.199, 5.246 Å; angles 90.00, 90.00, 90.00 degrees
Fractional coordinates of all 20 atoms:
Mg  0.006  0.050  0.249
Mg  0.006  0.450  0.249
Mg  0.250  0.250  0.784
Mg  0.494  0.050  0.249
Mg  0.494  0.450  0.249
Mg  0.506  0.550  0.751
Mg  0.506  0.950  0.751
Mg  0.750  0.750  0.216
Mg  0.994  0.550  0.751
Mg  0.994  0.950  0.751
Cu  0.250  0.750  0.222
Cu  0.750  0.250  0.778
N  0.002  0.750  0.459
N  0.250  0.004  0.992
N  0.250  0.496  0.992
N  0.498  0.750  0.459
N  0.502  0.250  0.541
N  0.750  0.504  0.008
N  0.750  0.996  0.008
N  0.998  0.250  0.541

No. 9
Structure and theoretical XRD peak list of NaMg6Cu (DFT lattice parameters and positions (PBE); copper Kα).

Main lines, most intense first (5 to 70 degrees two-theta):
2θ = 37.39°, I = 100; 2θ = 32.75°, I = 26; 2θ = 35.56°, I = 26; 2θ = 16.20°, I = 20; 2θ = 65.07°, I = 18; 2θ = 49.11°, I = 16; 2θ = 58.45°, I = 16; 2θ = 23.98°, I = 12; 2θ = 47.52°, I = 6; 2θ = 33.47°, I = 6; 2θ = 17.56°, I = 5; 2θ = 28.26°, I = 5

Crystal structure
Cell lengths 5.050, 6.321, 10.932 Å; angles 90.00, 90.00, 90.00 degrees
Fractional coordinates of all 16 atoms:
Na  0.000  0.000  0.000
Na  0.000  0.500  0.500
Mg  0.000  0.000  0.495
Mg  0.000  0.239  0.242
Mg  0.000  0.261  0.742
Mg  0.000  0.500  0.995
Mg  0.000  0.739  0.742
Mg  0.000  0.761  0.242
Mg  0.500  0.000  0.663
Mg  0.500  0.244  0.409
Mg  0.500  0.256  0.909
Mg  0.500  0.500  0.163
Mg  0.500  0.744  0.909
Mg  0.500  0.756  0.409
Cu  0.500  0.000  0.181
Cu  0.500  0.500  0.681

No. 10
Structure and theoretical XRD peak list of NaMg14Cu (DFT lattice parameters and positions (PBE); copper Kα).

Main lines, most intense first (5 to 70 degrees two-theta):
2θ = 37.08°, I = 100; 2θ = 32.37°, I = 25; 2θ = 35.66°, I = 24; 2θ = 69.73°, I = 18; 2θ = 57.73°, I = 17; 2θ = 64.99°, I = 16; 2θ = 48.92°, I = 15; 2θ = 8.78°, I = 10; 2θ = 18.30°, I = 9; 2θ = 16.02°, I = 5; 2θ = 23.90°, I = 3; 2θ = 67.76°, I = 3

Crystal structure
Cell lengths 6.387, 6.387, 10.072 Å; angles 90.00, 90.00, 120.00 degrees
Fractional coordinates of all 16 atoms:
Na  0.000  0.000  0.000
Mg  0.004  0.502  0.000
Mg  0.164  0.327  0.263
Mg  0.164  0.327  0.737
Mg  0.164  0.836  0.263
Mg  0.164  0.836  0.737
Mg  0.498  0.502  0.000
Mg  0.498  0.996  0.000
Mg  0.502  0.005  0.500
Mg  0.502  0.498  0.500
Mg  0.667  0.333  0.246
Mg  0.667  0.333  0.754
Mg  0.673  0.836  0.263
Mg  0.673  0.836  0.737
Mg  0.995  0.498  0.500
Cu  0.000  0.000  0.500

No. 11
Structure and theoretical XRD peak list of NaMg6Cu (DFT lattice parameters and positions (PBE); copper Kα).

Main lines, most intense first (5 to 70 degrees two-theta):
2θ = 37.31°, I = 100; 2θ = 37.51°, I = 48; 2θ = 35.64°, I = 38; 2θ = 32.62°, I = 25; 2θ = 16.15°, I = 21; 2θ = 65.11°, I = 18; 2θ = 58.51°, I = 16; 2θ = 24.00°, I = 16; 2θ = 49.08°, I = 15; 2θ = 32.86°, I = 13; 2θ = 65.25°, I = 9; 2θ = 58.07°, I = 8

Crystal structure
Cell lengths 5.039, 6.354, 10.904 Å; angles 90.00, 90.00, 90.00 degrees
Fractional coordinates of all 16 atoms:
Na  0.000  0.000  0.000
Na  0.000  0.500  0.500
Mg  0.000  0.248  0.750
Mg  0.000  0.252  0.250
Mg  0.000  0.748  0.250
Mg  0.000  0.752  0.750
Mg  0.500  0.000  0.339
Mg  0.500  0.000  0.831
Mg  0.500  0.238  0.580
Mg  0.500  0.262  0.080
Mg  0.500  0.500  0.331
Mg  0.500  0.500  0.839
Mg  0.500  0.738  0.080
Mg  0.500  0.762  0.580
Cu  0.000  0.000  0.500
Cu  0.000  0.500  0.000

No. 12
Structure and theoretical XRD peak list of NaMg14Cu (DFT lattice parameters and positions (PBE); copper Kα).

Main lines, most intense first (5 to 70 degrees two-theta):
2θ = 37.11°, I = 100; 2θ = 35.52°, I = 25; 2θ = 32.44°, I = 25; 2θ = 69.77°, I = 18; 2θ = 64.83°, I = 17; 2θ = 57.87°, I = 17; 2θ = 48.86°, I = 15; 2θ = 18.31°, I = 8; 2θ = 16.06°, I = 6; 2θ = 8.75°, I = 6; 2θ = 23.87°, I = 3; 2θ = 67.92°, I = 3

Crystal structure
Cell lengths 10.109, 6.373, 6.373 Å; angles 60.05, 90.00, 90.00 degrees
Fractional coordinates of all 16 atoms:
Na  0.000  0.000  0.000
Mg  0.000  0.003  0.493
Mg  0.000  0.493  0.003
Mg  0.240  0.662  0.662
Mg  0.246  0.175  0.660
Mg  0.246  0.660  0.175
Mg  0.256  0.167  0.167
Mg  0.500  0.499  0.499
Mg  0.500  0.502  0.998
Mg  0.500  0.998  0.502
Mg  0.500  0.998  0.998
Mg  0.744  0.167  0.167
Mg  0.754  0.175  0.660
Mg  0.754  0.660  0.175
Mg  0.760  0.662  0.662
Cu  0.000  0.501  0.501